Record 1
# Sr2AcSnO6
Computed PXRD pattern, CuKα. Input: a DFT-relaxed cell (GGA-PBE, Alexandria).

Structural model:
```
Sr2AcSnO6
1.0
6.062 0.000 0.000
0.000 6.251 0.000
-5.993 0.000 8.627
Sr Ac Sn O
4 2 2 12
Direct
0.236 0.048 0.254
0.236 0.452 0.754
0.764 0.548 0.246
0.764 0.952 0.746
0.500 0.000 0.000
0.500 0.500 0.500
0.000 0.000 0.500
0.000 0.500 0.000
0.112 0.227 0.931
0.112 0.273 0.431
0.225 0.687 0.947
0.225 0.813 0.447
0.343 0.057 0.728
0.343 0.443 0.228
0.657 0.557 0.772
0.657 0.943 0.272
0.775 0.187 0.553
0.775 0.313 0.053
0.888 0.727 0.569
0.888 0.773 0.069
```

Peak list (10 most intense, 2θ = 10–90°, low angle first)
Position (°2θ)	I/Imax
20.41	37
28.56	47
29.06	100
29.23	99
29.47	44
41.50	46
41.88	24
51.48	23
51.89	36
52.24	34


Record 2
# Sr2Ac4Sn3O2
Computed PXRD pattern, CuKα. Input: a DFT-relaxed cell (GGA-PBE, Alexandria).

Structural model:
```
Sr2Ac4Sn3O2
1.0
-2.597 2.597 13.437
2.597 -2.597 13.437
2.597 2.597 -13.437
Sr Ac Sn O
2 4 3 2
Direct
0.200 0.200 0.000
0.800 0.800 0.000
0.087 0.587 0.500
0.413 0.913 0.500
0.587 0.087 0.500
0.913 0.413 0.500
0.327 0.327 0.000
0.500 0.500 0.000
0.673 0.673 0.000
0.099 0.099 0.000
0.901 0.901 0.000
```

Peak list (10 most intense, 2θ = 10–90°, low angle first)
Position (°2θ)	I/Imax
13.18	24
19.82	12
25.14	34
27.68	29
31.50	100
34.54	53
48.77	15
49.66	20
54.08	17
59.99	35


Record 3
# Ac2Tb4Sn3O2
Computed PXRD pattern, CuKα. Input: a DFT-relaxed cell (GGA-PBE, Alexandria).

Structural model:
```
Ac2Tb4Sn3O2
1.0
-2.385 2.385 13.119
2.385 -2.385 13.119
2.385 2.385 -13.119
Ac Tb Sn O
2 4 3 2
Direct
0.195 0.195 0.000
0.805 0.805 0.000
0.079 0.579 0.500
0.421 0.921 0.500
0.579 0.079 0.500
0.921 0.421 0.500
0.332 0.332 0.000
0.500 0.500 0.000
0.668 0.668 0.000
0.090 0.090 0.000
0.910 0.910 0.000
```

Peak list (10 most intense, 2θ = 10–90°, low angle first)
Position (°2θ)	I/Imax
21.22	16
27.19	23
27.30	56
30.33	29
33.55	100
37.71	58
47.11	21
54.40	20
61.89	21
65.45	30


Record 4
# Ac3Tl3SnO8
Computed PXRD pattern, CuKα. Input: a DFT-relaxed cell (GGA-PBE, Alexandria).

Structural model:
```
Ac3Tl3SnO8
1.0
3.754 2.167 6.495
-3.754 2.167 6.495
0.000 -4.335 6.495
Ac Tl Sn O
3 3 1 8
Direct
0.000 0.500 0.500
0.500 0.000 0.500
0.500 0.500 0.000
0.000 0.000 0.500
0.000 0.500 0.000
0.500 0.000 0.000
0.000 0.000 0.000
0.201 0.201 0.768
0.201 0.768 0.201
0.232 0.799 0.799
0.274 0.274 0.274
0.726 0.726 0.726
0.768 0.201 0.201
0.799 0.232 0.799
0.799 0.799 0.232
```

Peak list (10 most intense, 2θ = 10–90°, low angle first)
Position (°2θ)	I/Imax
16.39	21
27.46	42
28.95	100
33.13	99
46.59	35
48.50	35
54.94	21
56.65	42
57.48	16
60.00	18


Record 5
# AcZrSnO6
Computed PXRD pattern, CuKα. Input: a DFT-relaxed cell (GGA-PBE, Alexandria).

Structural model:
```
AcZrSnO6
1.0
5.595 0.000 0.000
-2.797 4.845 0.000
0.000 0.000 10.560
Ac Zr Sn O
2 2 2 12
Direct
0.000 0.000 0.000
0.000 0.000 0.500
0.333 0.667 0.250
0.667 0.333 0.750
0.333 0.667 0.750
0.667 0.333 0.250
0.005 0.370 0.642
0.005 0.635 0.858
0.365 0.370 0.858
0.365 0.995 0.642
0.370 0.005 0.142
0.370 0.365 0.358
0.630 0.635 0.642
0.630 0.995 0.858
0.635 0.005 0.358
0.635 0.630 0.142
0.995 0.365 0.142
0.995 0.630 0.358
```

Peak list (10 most intense, 2θ = 10–90°, low angle first)
Position (°2θ)	I/Imax
18.31	9
24.94	100
32.00	36
40.99	26
47.35	38
52.92	26
55.55	11
57.02	12
72.60	11
74.82	10


Record 6
# SrAcO
Computed PXRD pattern, CuKα. Input: a DFT-relaxed cell (GGA-PBE, Alexandria).

Structural model:
```
SrAcO
1.0
3.798 0.000 0.000
-1.899 3.289 0.000
0.000 0.000 6.925
Sr Ac O
1 1 1
Direct
0.000 0.000 0.000
0.333 0.667 0.444
0.667 0.333 0.191
```

Peak list (10 most intense, 2θ = 10–90°, low angle first)
Position (°2θ)	I/Imax
12.78	33
25.73	25
27.11	27
30.08	100
37.72	34
47.90	20
48.16	25
55.16	20
57.61	16
78.10	14


Record 7
# SrAcTiO4
Computed PXRD pattern, CuKα. Input: a DFT-relaxed cell (GGA-PBE, Alexandria).

Structural model:
```
SrAcTiO4
1.0
3.972 0.000 0.000
0.000 3.972 0.000
0.000 0.000 12.951
Sr Ac Ti O
2 2 2 8
Direct
0.000 0.000 0.000
0.500 0.500 0.500
0.000 0.000 0.286
0.500 0.500 0.786
0.000 0.000 0.637
0.500 0.500 0.137
0.000 0.000 0.474
0.000 0.000 0.808
0.000 0.500 0.143
0.000 0.500 0.643
0.500 0.000 0.143
0.500 0.000 0.643
0.500 0.500 0.308
0.500 0.500 0.974
```

Peak list (10 most intense, 2θ = 10–90°, low angle first)
Position (°2θ)	I/Imax
13.67	28
23.43	58
27.55	18
30.58	100
31.86	65
34.82	17
42.61	38
45.68	33
55.98	38
75.75	17


Record 8
# AcTa3O9
Computed PXRD pattern, CuKα. Input: a DFT-relaxed cell (GGA-PBE, Alexandria).

Structural model:
```
AcTa3O9
1.0
5.646 0.000 0.000
0.000 7.752 0.000
-0.337 0.000 8.298
Ac Ta O
2 6 18
Direct
0.032 0.250 0.428
0.968 0.750 0.572
0.000 0.000 0.000
0.000 0.500 0.000
0.476 0.007 0.699
0.476 0.493 0.699
0.524 0.507 0.301
0.524 0.993 0.301
0.063 0.250 0.993
0.167 0.542 0.792
0.167 0.958 0.792
0.274 0.532 0.470
0.274 0.968 0.470
0.304 0.536 0.129
0.304 0.964 0.129
0.377 0.250 0.668
0.463 0.250 0.313
0.537 0.750 0.687
0.623 0.750 0.332
0.696 0.036 0.871
0.696 0.464 0.871
0.726 0.032 0.530
0.726 0.468 0.530
0.833 0.042 0.208
0.833 0.458 0.208
0.937 0.750 0.007
```

Peak list (10 most intense, 2θ = 10–90°, low angle first)
Position (°2θ)	I/Imax
22.95	46
25.36	38
26.14	100
27.19	85
27.93	62
29.74	59
30.21	96
31.72	72
46.89	51
54.43	39


Record 9
# AcTa2O8
Computed PXRD pattern, CuKα. Input: a DFT-relaxed cell (GGA-PBE, Alexandria).

Structural model:
```
AcTa2O8
1.0
4.896 0.000 0.000
0.000 4.896 0.000
0.000 0.000 6.195
Ac Ta O
1 2 8
Direct
0.000 0.000 0.000
0.000 0.500 0.500
0.500 0.000 0.500
0.250 0.250 0.305
0.250 0.250 0.695
0.250 0.750 0.305
0.250 0.750 0.695
0.750 0.250 0.305
0.750 0.250 0.695
0.750 0.750 0.305
0.750 0.750 0.695
```

Peak list (10 most intense, 2θ = 10–90°, low angle first)
Position (°2θ)	I/Imax
14.30	15
18.12	23
23.15	26
28.82	18
29.56	100
36.71	17
47.33	37
51.53	22
52.89	14
61.75	29


Record 10
# Ac2TaTlO6
Computed PXRD pattern, CuKα. Input: a DFT-relaxed cell (GGA-PBE, Alexandria).

Structural model:
```
Ac2TaTlO6
1.0
5.768 0.000 0.000
0.000 5.768 0.000
0.000 0.000 5.840
Ac Ta Tl O
2 1 1 6
Direct
0.000 0.500 0.000
0.500 0.000 0.000
0.000 0.000 0.633
0.500 0.500 0.522
0.000 0.000 0.308
0.221 0.221 0.764
0.221 0.779 0.764
0.500 0.500 0.100
0.779 0.221 0.764
0.779 0.779 0.764
```

Peak list (10 most intense, 2θ = 10–90°, low angle first)
Position (°2θ)	I/Imax
15.17	10
26.66	100
30.62	10
31.01	37
37.90	9
44.14	23
44.42	18
52.56	32
54.92	9
87.92	8


Record 11
# Ac3TbO6
Computed PXRD pattern, CuKα. Input: a DFT-relaxed cell (GGA-PBE, Alexandria).

Structural model:
```
Ac3TbO6
1.0
5.252 3.032 4.053
-5.252 3.032 4.053
0.000 -6.065 4.053
Ac Tb O
6 2 12
Direct
0.058 0.753 0.565
0.247 0.435 0.942
0.435 0.942 0.247
0.565 0.058 0.753
0.753 0.565 0.058
0.942 0.247 0.435
0.000 0.000 0.000
0.500 0.500 0.500
0.036 0.697 0.907
0.093 0.964 0.303
0.197 0.438 0.585
0.303 0.093 0.964
0.415 0.803 0.562
0.438 0.585 0.197
0.562 0.415 0.803
0.585 0.197 0.438
0.697 0.907 0.036
0.803 0.562 0.415
0.907 0.036 0.697
0.964 0.303 0.093
```

Peak list (10 most intense, 2θ = 10–90°, low angle first)
Position (°2θ)	I/Imax
21.93	35
24.44	24
26.95	100
27.80	45
29.85	72
38.63	18
39.57	28
44.02	16
45.70	34
48.13	22


Record 12
# AcTbTeO2
Computed PXRD pattern, CuKα. Input: a DFT-relaxed cell (GGA-PBE, Alexandria).

Structural model:
```
AcTbTeO2
1.0
7.159 0.000 0.000
0.000 4.261 0.000
-2.460 0.000 7.775
Ac Tb Te O
2 2 2 4
Direct
0.188 0.250 0.427
0.812 0.750 0.573
0.152 0.250 0.915
0.848 0.750 0.085
0.448 0.750 0.764
0.552 0.250 0.236
0.010 0.750 0.889
0.013 0.750 0.367
0.987 0.250 0.633
0.990 0.250 0.111
```

Peak list (10 most intense, 2θ = 10–90°, low angle first)
Position (°2θ)	I/Imax
24.63	100
28.85	33
29.15	83
29.68	92
30.97	85
31.14	44
33.65	75
42.43	41
52.31	35
52.63	38